Record 1
Simulated X-ray diffraction stick pattern of Sc2ReTc for Cu Kα X-rays, from DFT lattice parameters and positions (PBE).
Kinematic intensities with the Lorentz-polarization factor, no thermal factor.

Lattice parameters (Å, degrees): 5.5407 5.5407 5.5407 146.33 130.74 60.99
Element x y z (fractional)
1 Sc 0.0000 0.0000 0.0000
2 Sc 0.7227 0.2227 0.5000
3 Re 0.2578 0.7578 0.5000
4 Tc 0.4670 0.4670 0.0000

The 6 most intense peaks (15 to 90 degrees two-theta), by intensity:
2theta, I (rel.)
39.0, 100
21.4, 42
70.7, 19
37.7, 18
39.9, 14
55.4, 12



Record 2
Simulated X-ray diffraction stick pattern of ZrZnCr for Cu Kα X-rays, from DFT lattice parameters and positions (PBE).
Kinematic intensities with the Lorentz-polarization factor, no thermal factor.

Lattice parameters (Å, degrees): 4.4287 4.4287 3.1341 90.00 90.00 120.00
Element x y z (fractional)
1 Zr 0.0000 0.0000 0.0000
2 Zn 0.3333 0.6667 0.5019
3 Cr 0.6667 0.3333 0.4983

The 6 most intense peaks (15 to 90 degrees two-theta), by intensity:
2theta, I (rel.)
37.0, 100
40.7, 74
74.1, 34
56.2, 28
71.7, 26
23.2, 8



Record 3
Simulated X-ray diffraction stick pattern of Dy6InPt for Cu Kα X-rays, from DFT lattice parameters and positions (PBE).
Kinematic intensities with the Lorentz-polarization factor, no thermal factor.

Lattice parameters (Å, degrees): 7.0824 7.0906 7.2491 90.16 119.05 119.88
Element x y z (fractional)
1 Dy 0.0354 0.0706 0.2555
2 Dy 0.2899 0.7196 0.2552
3 Dy 0.3130 0.5336 0.7449
4 Dy 0.6870 0.4664 0.2551
5 Dy 0.7101 0.2804 0.7448
6 Dy 0.9646 0.9294 0.7445
7 In 0.5000 0.0000 0.0000
8 Pt 0.5000 0.5000 0.5000

The 6 most intense peaks (15 to 90 degrees two-theta), by intensity:
2theta, I (rel.)
29.2, 100
24.5, 28
44.2, 26
39.4, 26
29.3, 24
30.8, 23